[1]
Calculated X-ray powder pattern
Compound: NaSr2Fe6As6
Radiation: Cu Kα (λ = 1.5418 Å)
Structure: a cell relaxed with PBE
Lines closer than 0.1° are merged.

Peak list (10 most intense, 10° ≤ 2θ ≤ 80°, sorted by position)
d_spacing, 2θ (°), I_rel
6.138, 14.43, 65
2.809, 31.85, 100
2.809, 31.86, 100
2.519, 35.64, 39
2.473, 36.33, 37
1.932, 47.04, 89
1.644, 55.92, 35
1.631, 56.41, 34
1.604, 57.45, 35
1.580, 58.41, 34

Cell and atoms:
```
data_NaSr2Fe6As6
_chemical_formula_sum 'Na2 Sr4 Fe12 As12'
_cell_length_a 16.515
_cell_length_b 5.404
_cell_length_c 6.731
_cell_angle_alpha 90.00
_cell_angle_beta 113.76
_cell_angle_gamma 90.00
_space_group_name_H-M_alt 'C 1 2/m 1'
_space_group_IT_number 12
_space_group_name_Hall '-C 2y'
loop_
_atom_site_label
_atom_site_fract_x
_atom_site_fract_y
_atom_site_fract_z
_atom_site_occupancy
Na1 0.000 0.000 0.000 1
Sr1 0.162 0.500 0.326 1
Fe1 0.000 0.250 0.500 1
Fe2 0.167 0.250 0.833 1
As1 0.048 0.500 0.812 1
As2 0.120 0.000 0.524 1
As3 0.214 0.000 0.141 1
```

=====

[2]
Calculated X-ray powder pattern
Compound: NbFe2As2
Radiation: Cu Kα (λ = 1.5418 Å)
Structure: a cell relaxed with PBE
Lines closer than 0.1° are merged.

Peak list (10 most intense, 10° ≤ 2θ ≤ 80°, sorted by position)
d_spacing, 2θ (°), I_rel
2.909, 30.74, 12
2.509, 35.79, 17
2.480, 36.22, 13
2.218, 40.68, 79
2.133, 42.38, 100
1.887, 48.22, 10
1.764, 51.84, 17
1.568, 58.88, 10
1.454, 64.02, 11
1.216, 78.67, 21

Cell and atoms:
```
data_NbFe2As2
_chemical_formula_sum 'Nb2 Fe4 As4'
_cell_length_a 7.014
_cell_length_b 7.014
_cell_length_c 2.909
_cell_angle_alpha 90.00
_cell_angle_beta 90.00
_cell_angle_gamma 90.00
_space_group_name_H-M_alt 'P 4/m b m'
_space_group_IT_number 127
_space_group_name_Hall '-P 4 2ab'
loop_
_atom_site_label
_atom_site_fract_x
_atom_site_fract_y
_atom_site_fract_z
_atom_site_occupancy
Nb1 0.000 0.000 0.000 1
Fe1 0.138 0.362 0.500 1
As1 0.155 0.655 0.000 1
```